[1]
Structure and simulated powder X-ray diffraction pattern of SmTeAuO (a PBE-relaxed structure; Cu Kα X-rays).
Intensities are scaled so that the largest is 100.

Largest 12 diffraction maxima, in order of rising 2θ, 10 to 90 degrees two-theta:
d 5.174, 17.14°, I = 33, (0 0 2); d 3.219, 27.71°, I = 94, (1 1 2); d 2.913, 30.70°, I = 100, (0 2 0); d 2.794, 32.04°, I = 65, (2 0 1); d 2.642, 33.93°, I = 84, (1 1 3); d 2.531, 35.47°, I = 59, (2 0 2); d 2.223, 40.58°, I = 36, (0 2 3); d 2.070, 43.74°, I = 34, (0 0 5); d 2.016, 44.96°, I = 64, (2 2 1); d 1.932, 47.04°, I = 26, (2 0 4); d 1.910, 47.60°, I = 41, (2 2 2); d 1.687, 54.38°, I = 42, (0 2 5)

Atomic structure:
```
data_SmTeAuO
_cell_length_a 5.8032
_cell_length_b 5.8254
_cell_length_c 10.3476
_cell_angle_alpha 90.00
_cell_angle_beta 90.00
_cell_angle_gamma 90.00
_space_group_name_H-M_alt 'P b a 2'
_space_group_IT_number 32
_space_group_name_Hall 'P 2 -2ab'
loop_
_atom_site_label
_atom_site_type_symbol
_atom_site_fract_x
_atom_site_fract_y
_atom_site_fract_z
Sm1 Sm 0.0000 0.0000 0.0000
Sm2 Sm 0.0000 0.5000 0.2161
Te1 Te 0.0000 0.0000 0.3880
Te2 Te 0.0000 0.5000 0.8263
Au1 Au 0.2494 0.4981 0.6067
O1 O 0.2501 0.2495 0.1079
```



[2]
Structure and simulated powder X-ray diffraction pattern of Er2TmFeCo8 (a PBE-relaxed structure; Cu Kα X-rays).
Intensities are scaled so that the largest is 100.

Largest 12 diffraction maxima, in order of rising 2θ, 10 to 90 degrees two-theta:
d 4.235, 20.98°, I = 16, (1 0 1); d 2.675, 33.50°, I = 54, (1 0 7); d 2.484, 36.16°, I = 60, (1 1 0); d 2.455, 36.61°, I = 45, (0 1 8); d 2.143, 42.17°, I = 43, (0 2 1); d 2.108, 42.90°, I = 100, (1 1 6); d 1.468, 63.34°, I = 18, (2 1 7); d 1.429, 65.32°, I = 16, (1 2 8); d 1.350, 69.67°, I = 22, (3 0 6); d 1.341, 70.15°, I = 14, (1 1 15); d 1.338, 70.39°, I = 14, (2 0 14); d 1.242, 76.72°, I = 22, (2 2 0)

Atomic structure:
```
data_Er2TmFeCo8
_cell_length_a 4.9688
_cell_length_b 4.9688
_cell_length_c 23.9074
_cell_angle_alpha 90.00
_cell_angle_beta 90.00
_cell_angle_gamma 120.00
_space_group_name_H-M_alt 'R -3 m'
_space_group_IT_number 166
_space_group_name_Hall '-R 3 2"'
loop_
_atom_site_label
_atom_site_type_symbol
_atom_site_fract_x
_atom_site_fract_y
_atom_site_fract_z
Er1 Er 0.0000 0.0000 0.1395
Tm1 Tm 0.0000 0.0000 0.0000
Fe1 Fe 0.0000 0.0000 0.5000
Co1 Co 0.0000 0.0000 0.3343
Co2 Co 0.0034 0.5017 0.9181
```



Which formula does entry 1 have? SmTeAuO



Repeat the first record exactly.
Structure and simulated powder X-ray diffraction pattern of SmTeAuO (a PBE-relaxed structure; Cu Kα X-rays).
Intensities are scaled so that the largest is 100.

Largest 12 diffraction maxima, in order of rising 2θ, 10 to 90 degrees two-theta:
d 5.174, 17.14°, I = 33, (0 0 2); d 3.219, 27.71°, I = 94, (1 1 2); d 2.913, 30.70°, I = 100, (0 2 0); d 2.794, 32.04°, I = 65, (2 0 1); d 2.642, 33.93°, I = 84, (1 1 3); d 2.531, 35.47°, I = 59, (2 0 2); d 2.223, 40.58°, I = 36, (0 2 3); d 2.070, 43.74°, I = 34, (0 0 5); d 2.016, 44.96°, I = 64, (2 2 1); d 1.932, 47.04°, I = 26, (2 0 4); d 1.910, 47.60°, I = 41, (2 2 2); d 1.687, 54.38°, I = 42, (0 2 5)

Atomic structure:
```
data_SmTeAuO
_cell_length_a 5.8032
_cell_length_b 5.8254
_cell_length_c 10.3476
_cell_angle_alpha 90.00
_cell_angle_beta 90.00
_cell_angle_gamma 90.00
_space_group_name_H-M_alt 'P b a 2'
_space_group_IT_number 32
_space_group_name_Hall 'P 2 -2ab'
loop_
_atom_site_label
_atom_site_type_symbol
_atom_site_fract_x
_atom_site_fract_y
_atom_site_fract_z
Sm1 Sm 0.0000 0.0000 0.0000
Sm2 Sm 0.0000 0.5000 0.2161
Te1 Te 0.0000 0.0000 0.3880
Te2 Te 0.0000 0.5000 0.8263
Au1 Au 0.2494 0.4981 0.6067
O1 O 0.2501 0.2495 0.1079
```



Copy entry 1 word for word.
Structure and simulated powder X-ray diffraction pattern of SmTeAuO (a PBE-relaxed structure; Cu Kα X-rays).
Intensities are scaled so that the largest is 100.

Largest 12 diffraction maxima, in order of rising 2θ, 10 to 90 degrees two-theta:
d 5.174, 17.14°, I = 33, (0 0 2); d 3.219, 27.71°, I = 94, (1 1 2); d 2.913, 30.70°, I = 100, (0 2 0); d 2.794, 32.04°, I = 65, (2 0 1); d 2.642, 33.93°, I = 84, (1 1 3); d 2.531, 35.47°, I = 59, (2 0 2); d 2.223, 40.58°, I = 36, (0 2 3); d 2.070, 43.74°, I = 34, (0 0 5); d 2.016, 44.96°, I = 64, (2 2 1); d 1.932, 47.04°, I = 26, (2 0 4); d 1.910, 47.60°, I = 41, (2 2 2); d 1.687, 54.38°, I = 42, (0 2 5)

Atomic structure:
```
data_SmTeAuO
_cell_length_a 5.8032
_cell_length_b 5.8254
_cell_length_c 10.3476
_cell_angle_alpha 90.00
_cell_angle_beta 90.00
_cell_angle_gamma 90.00
_space_group_name_H-M_alt 'P b a 2'
_space_group_IT_number 32
_space_group_name_Hall 'P 2 -2ab'
loop_
_atom_site_label
_atom_site_type_symbol
_atom_site_fract_x
_atom_site_fract_y
_atom_site_fract_z
Sm1 Sm 0.0000 0.0000 0.0000
Sm2 Sm 0.0000 0.5000 0.2161
Te1 Te 0.0000 0.0000 0.3880
Te2 Te 0.0000 0.5000 0.8263
Au1 Au 0.2494 0.4981 0.6067
O1 O 0.2501 0.2495 0.1079
```